Diffraction record for InHg2H. The X-ray diffraction stick pattern is computed, not measured: it uses DFT lattice parameters and positions (PBE) and Cu Kα, 1.54184 Å.
Intensities are scaled so that the largest is 100.

Structural model:
```
data_InHg2H
_cell_length_a 3.573
_cell_length_b 7.002
_cell_length_c 7.233
_cell_angle_alpha 97.98
_cell_angle_beta 102.71
_cell_angle_gamma 92.54
_symmetry_space_group_name_H-M 'P -1'
_symmetry_Int_Tables_number 2
_symmetry_space_group_name_Hall '-P 1'
loop_
_atom_site_label
_atom_site_type_symbol
_atom_site_fract_x
_atom_site_fract_y
_atom_site_fract_z
_atom_site_occupancy
In1 In 0.172 0.075 0.306 1
Hg1 Hg 0.160 0.528 0.316 1
Hg2 Hg 0.458 0.250 0.960 1
H1 H 0.241 0.870 0.508 1
```

Principal peaks in the range 10° ≤ 2θ ≤ 90°, sorted by position:
- 2θ = 30.57°, rel. 88, hkl 0 2 1
- 2θ = 31.27°, rel. 100, hkl 1 0 1
- 2θ = 31.94°, rel. 100, hkl 1 0 -2
- 2θ = 33.61°, rel. 76, hkl 0 2 -2
- 2θ = 35.17°, rel. 67, hkl 1 -2 0
- 2θ = 36.88°, rel. 76, hkl 1 2 -1
- 2θ = 38.74°, rel. 45, hkl 0 0 3
- 2θ = 51.20°, rel. 28, hkl 2 0 -1